Record 1
Starting from the GGA-PBE geometry in Alexandria, the XRD peak list of Ta2Nb2Ru3 was computed for CuKα.

Crystal structure
Lattice parameters (Å, degrees): 3.0431 25.3452 3.0676 90.00 90.00 90.00
Space group Cmmm (No. 65)
Unique sites:
Ta 0.0000 0.0670 0.0000
Nb 0.0000 0.2023 0.0000
Ru 0.0000 0.3720 0.5000
Ru 0.0000 0.5000 0.5000

Top 8 peaks for 10 to 90 degrees two-theta, sorted by position:
Position (°2θ)  d_spacing  Rel. int.  h k l
36.19  2.482  27  0 6 1
38.65  2.330  98  1 7 0
40.95  2.204  86  0 8 1
41.97  2.153  100  1 1 1
43.80  2.067  20  1 9 0
70.79  1.331  36  1 15 1
73.99  1.281  29  1 7 2
76.00  1.252  27  2 8 1

***

Record 2
Starting from the GGA-PBE geometry in Alexandria, the XRD peak list of TaNb6Ru2 was computed for CuKα.

Crystal structure
Lattice parameters (Å, degrees): 7.1385 14.0224 3.1860 90.00 100.19 90.00
Space group C2/m (No. 12)
Unique sites:
Ta 0.0000 0.0000 0.0000
Nb 0.1645 0.5000 0.3331
Nb 0.1759 0.3351 0.8219
Ru 0.0000 0.1593 0.5000

Top 8 peaks for 10 to 90 degrees two-theta, sorted by position:
Position (°2θ)  d_spacing  Rel. int.  h k l
37.17  2.419  33  2 2 -1
38.57  2.334  100  1 3 1
38.99  2.310  32  3 1 0
43.59  2.076  25  2 4 -1
50.79  1.798  12  3 5 0
60.85  1.522  10  3 7 0
69.74  1.348  11  1 9 1
71.45  1.320  10  5 3 -1

***

Record 3
Starting from the GGA-PBE geometry in Alexandria, the XRD peak list of Ta4NbRu5 was computed for CuKα.

Crystal structure
Lattice parameters (Å, degrees): 3.0672 3.0672 17.1506 90.00 90.00 90.00
Space group P4/mmm (No. 123)
Unique sites:
Ta 0.0000 0.0000 0.0994
Ta 0.0000 0.0000 0.2986
Nb 0.0000 0.0000 0.5000
Ru 0.5000 0.5000 0.0000
Ru 0.5000 0.5000 0.2007
Ru 0.5000 0.5000 0.3877

Top 8 peaks for 10 to 90 degrees two-theta, sorted by position:
Position (°2θ)  d_spacing  Rel. int.  h k l
29.11  3.067  5  1 0 0
39.41  2.286  100  1 0 5
41.64  2.169  44  1 1 0
53.42  1.715  10  0 0 10
60.36  1.534  15  2 0 0
69.93  1.345  17  1 1 10
74.50  1.274  31  2 1 5
84.81  1.143  11  2 0 10

***

Record 4
Starting from the GGA-PBE geometry in Alexandria, the XRD peak list of Ta5NbRu2 was computed for CuKα.

Crystal structure
Lattice parameters (Å, degrees): 4.5085 5.5337 5.8069 70.04 89.88 89.94
Space group P1 (No. 1)
Unique sites:
Ta 0.0000 0.0000 0.0000
Ta 0.0002 0.0010 0.4995
Ta 0.0002 0.5035 0.4925
Ta 0.5002 0.2502 0.7436
Ta 0.5002 0.2555 0.2431
Nb 0.0003 0.5038 0.9936
Ru 0.5002 0.7543 0.2465
Ru 0.5002 0.7539 0.7425

Top 8 peaks for 10 to 90 degrees two-theta, sorted by position:
Position (°2θ)  d_spacing  Rel. int.  h k l
38.53  2.337  37  1 0 2
38.59  2.333  37  1 0 -2
38.83  2.319  36  0 2 2
40.01  2.253  100  2 0 0
56.61  1.626  12  0 2 -2
56.91  1.618  12  2 2 2
69.14  1.359  13  1 2 4
72.68  1.301  17  3 2 0

***

Record 5
Starting from the GGA-PBE geometry in Alexandria, the XRD peak list of Ta4Nb4Ru was computed for CuKα.

Crystal structure
Lattice parameters (Å, degrees): 9.8321 9.8321 3.2791 90.00 90.00 90.00
Space group I4/mmm (No. 139)
Unique sites:
Ta 0.1628 0.1628 0.0000
Nb 0.0000 0.3322 0.5000
Ru 0.0000 0.0000 0.5000

Top 8 peaks for 10 to 90 degrees two-theta, sorted by position:
Position (°2θ)  d_spacing  Rel. int.  h k l
12.73  6.952  4  1 1 0
18.04  4.916  2  2 0 0
28.71  3.110  6  1 0 1
38.85  2.318  100  3 0 1
54.40  1.686  2  4 3 1
56.12  1.639  17  0 0 2
70.35  1.338  34  3 3 2
83.40  1.159  11  6 0 2

***

Record 6
Starting from the GGA-PBE geometry in Alexandria, the XRD peak list of TaNb2Ru3 was computed for CuKα.

Crystal structure
Lattice parameters (Å, degrees): 4.3389 6.8708 6.8563 90.00 108.34 90.00
Space group P2/m (No. 10)
Unique sites:
Ta 0.1665 0.0000 0.3330
Nb 0.1668 0.5000 0.3335
Nb 0.5000 0.0000 0.0000
Nb 0.5000 0.5000 0.0000
Ru 0.0000 0.2328 0.0000
Ru 0.3328 0.2310 0.6656

Top 8 peaks for 10 to 90 degrees two-theta, sorted by position:
Position (°2θ)  d_spacing  Rel. int.  h k l
12.88  6.871  11  0 1 0
39.38  2.288  100  1 2 1
41.63  2.169  44  0 0 3
53.33  1.718  10  0 4 0
60.40  1.532  7  2 0 -4
69.84  1.347  17  0 4 3
74.42  1.275  15  3 2 0
74.51  1.274  15  3 2 -3

***

Record 7
Starting from the GGA-PBE geometry in Alexandria, the XRD peak list of Ta3NbRu4 was computed for CuKα.

Crystal structure
Lattice parameters (Å, degrees): 3.0684 4.5382 9.2553 90.00 90.00 90.00
Space group Pmmm (No. 47)
Unique sites:
Ta 0.0000 0.0000 0.0000
Ta 0.0000 0.5000 0.2589
Nb 0.0000 0.0000 0.5000
Ru 0.5000 0.0000 0.2310
Ru 0.5000 0.5000 0.0000
Ru 0.5000 0.5000 0.5000

Top 8 peaks for 10 to 90 degrees two-theta, sorted by position:
Position (°2θ)  d_spacing  Rel. int.  h k l
38.92  2.314  27  0 0 4
39.72  2.269  27  0 2 0
40.49  2.228  100  1 1 2
56.83  1.620  18  0 2 4
71.55  1.319  16  1 1 6
72.61  1.302  18  1 3 2
74.68  1.271  8  2 2 0
87.58  1.114  11  2 2 4

***

Record 8
Starting from the GGA-PBE geometry in Alexandria, the XRD peak list of TbNb2Ru3 was computed for CuKα.

Crystal structure
Lattice parameters (Å, degrees): 3.1692 3.1692 10.4217 90.00 90.00 90.00
Space group P4/mmm (No. 123)
Unique sites:
Tb 0.0000 0.0000 0.0000
Nb 0.0000 0.0000 0.3409
Ru 0.5000 0.5000 0.2002
Ru 0.5000 0.5000 0.5000

Top 8 peaks for 10 to 90 degrees two-theta, sorted by position:
Position (°2θ)  d_spacing  Rel. int.  h k l
33.08  2.708  8  1 0 2
38.45  2.341  100  1 0 3
40.24  2.241  50  1 1 0
52.70  1.737  7  0 0 6
58.22  1.585  17  2 0 0
68.33  1.373  12  1 1 6
71.96  1.312  31  2 1 3
82.38  1.171  7  2 0 6

***

Record 9
Starting from the GGA-PBE geometry in Alexandria, the XRD peak list of Nb4Tc3Ru was computed for CuKα.

Crystal structure
Lattice parameters (Å, degrees): 3.1908 4.5122 9.0157 90.00 90.00 90.00
Space group Pmmm (No. 47)
Unique sites:
Nb 0.0000 0.0000 0.0000
Nb 0.0000 0.0000 0.5000
Nb 0.0000 0.5000 0.2472
Tc 0.5000 0.0000 0.2523
Tc 0.5000 0.5000 0.0000
Ru 0.5000 0.5000 0.5000

Top 5 peaks for 10 to 90 degrees two-theta, sorted by position:
Position (°2θ)  d_spacing  Rel. int.  h k l
39.97  2.255  100  1 1 2
57.81  1.595  17  2 0 0
72.60  1.302  33  2 2 0
86.24  1.128  9  0 4 0
86.33  1.127  2  0 0 8

***

Record 10
Starting from the GGA-PBE geometry in Alexandria, the XRD peak list of TiNb2Ru2 was computed for CuKα.

Crystal structure
Lattice parameters (Å, degrees): 3.0012 18.2122 3.0077 90.00 90.00 90.00
Space group Cmmm (No. 65)
Unique sites:
Ti 0.0000 0.0000 0.0000
Nb 0.0000 0.1820 0.0000
Ru 0.0000 0.4150 0.5000

Top 8 peaks for 10 to 90 degrees two-theta, sorted by position:
Position (°2θ)  d_spacing  Rel. int.  h k l
31.32  2.856  37  0 2 1
38.88  2.316  100  1 5 0
42.30  2.136  87  0 6 1
42.86  2.110  90  1 1 1
45.22  2.005  17  1 3 1
72.36  1.306  36  1 11 1
75.35  1.261  27  1 5 2
77.78  1.228  27  2 6 1

***

Record 11
Starting from the GGA-PBE geometry in Alexandria, the XRD peak list of TiNb3Ru4 was computed for CuKα.

Crystal structure
Lattice parameters (Å, degrees): 3.0658 3.0658 13.3656 90.00 90.00 90.00
Space group P4/mmm (No. 123)
Unique sites:
Ti 0.0000 0.0000 0.0000
Nb 0.0000 0.0000 0.2428
Nb 0.0000 0.0000 0.5000
Ru 0.5000 0.5000 0.1142
Ru 0.5000 0.5000 0.3718

Top 8 peaks for 10 to 90 degrees two-theta, sorted by position:
Position (°2θ)  d_spacing  Rel. int.  h k l
35.55  2.526  3  1 0 3
39.91  2.259  100  1 0 4
41.66  2.168  46  1 1 0
54.96  1.671  9  0 0 8
60.39  1.533  15  2 0 0
71.26  1.323  16  1 1 8
74.86  1.268  30  2 1 4
86.08  1.130  11  2 0 8

***

Record 12
Starting from the GGA-PBE geometry in Alexandria, the XRD peak list of Ti4Nb4Ru was computed for CuKα.

Crystal structure
Lattice parameters (Å, degrees): 4.4728 9.8426 13.9491 90.00 90.00 90.00
Space group Fmmm (No. 69)
Unique sites:
Ti 0.0000 0.0000 0.1749
Ti 0.0000 0.1526 0.0000
Nb 0.0000 0.1688 0.3394
Ru 0.0000 0.0000 0.5000

Top 8 peaks for 10 to 90 degrees two-theta, sorted by position:
Position (°2θ)  d_spacing  Rel. int.  h k l
22.75  3.909  10  1 1 1
38.73  2.325  25  0 0 6
39.18  2.299  100  1 3 3
40.33  2.236  23  2 0 0
57.15  1.612  16  2 0 6
70.41  1.337  17  1 3 9
72.55  1.303  15  3 3 3
84.22  1.150  9  2 6 6

***

Record 13
Starting from the GGA-PBE geometry in Alexandria, the XRD peak list of Nb6V2Ru was computed for CuKα.

Crystal structure
Lattice parameters (Å, degrees): 4.3608 6.1304 12.9630 90.00 90.00 90.00
Space group Immm (No. 71)
Unique sites:
Nb 0.0000 0.2436 0.0000
Nb 0.0000 0.2527 0.3319
V 0.0000 0.0000 0.1651
Ru 0.0000 0.0000 0.5000

Top 8 peaks for 10 to 90 degrees two-theta, sorted by position:
Position (°2θ)  d_spacing  Rel. int.  h k l
25.06  3.553  14  1 1 0
29.11  3.068  46  1 0 3
41.41  2.180  25  2 0 0
41.64  2.169  100  1 2 3
41.81  2.160  25  0 0 6
60.34  1.534  24  2 0 6
75.68  1.257  16  3 2 3
76.20  1.249  24  1 2 9

***

Record 14
Starting from the GGA-PBE geometry in Alexandria, the XRD peak list of NbVRu was computed for CuKα.

Crystal structure
Lattice parameters (Å, degrees): 4.3307 4.3307 2.8067 90.00 90.00 120.00
Space group P3m1 (No. 156)
Unique sites:
Nb 0.0000 0.0000 0.0000
V 0.3333 0.6667 0.3352
Ru 0.6667 0.3333 0.6544

Top 8 peaks for 10 to 90 degrees two-theta, sorted by position:
Position (°2θ)  d_spacing  Rel. int.  h k l
23.72  3.750  15  1 0 0
40.13  2.247  100  0 1 1
41.71  2.165  85  1 1 0
59.26  1.559  31  2 0 1
71.82  1.314  16  1 0 2
75.07  1.265  30  1 2 1
76.14  1.250  13  3 0 0
86.65  1.124  10  0 2 2

***

Record 15
Starting from the GGA-PBE geometry in Alexandria, the XRD peak list of Nb6RuW2 was computed for CuKα.

Crystal structure
Lattice parameters (Å, degrees): 4.5814 4.5814 8.4804 90.00 90.00 120.00
Space group P-3m1 (No. 164)
Unique sites:
Nb 0.0000 0.0000 0.1699
Nb 0.3333 0.6667 0.2750
Nb 0.3333 0.6667 0.6080
Ru 0.0000 0.0000 0.5000
W 0.3333 0.6667 0.9490

Top 8 peaks for 10 to 90 degrees two-theta, sorted by position:
Position (°2θ)  d_spacing  Rel. int.  h k l
10.43  8.480  15  0 0 1
39.13  2.302  100  0 1 3
39.33  2.291  99  1 1 0
56.69  1.624  34  2 0 3
70.76  1.331  17  1 0 6
71.17  1.325  34  1 2 3
71.31  1.323  17  3 0 0
84.09  1.151  11  0 2 6